Starting from DFT lattice parameters and positions (PBE), the powder XRD pattern of Y2Ge2O7 was computed for λ = 1.5418 Å (Cu Kα).

Most intense lines, 2θ from 5° to 70°, low angle first:
2θ/deg, I (rel.)
30.85, 100
35.77, 25
39.11, 4
44.19, 1
47.03, 2
51.49, 49
61.24, 40
64.28, 9

Atomic structure:
Lattice parameters (Å, degrees): 7.0993 7.0993 7.0993 60.00 60.00 60.00
Sites, in units of the cell vectors:
Y: 0.0000 0.0000 0.0000
Y: 0.0000 0.0000 0.5000
Y: 0.0000 0.5000 0.0000
Y: 0.5000 0.0000 0.0000
Ge: 0.0000 0.5000 0.5000
Ge: 0.5000 0.0000 0.5000
Ge: 0.5000 0.5000 0.0000
Ge: 0.5000 0.5000 0.5000
O: 0.1250 0.1250 0.1250
O: 0.1724 0.1724 0.5776
O: 0.1724 0.5776 0.1724
O: 0.1724 0.5776 0.5776
O: 0.4224 0.4224 0.8276
O: 0.4224 0.8276 0.4224
O: 0.4224 0.8276 0.8276
O: 0.5776 0.1724 0.1724
O: 0.5776 0.1724 0.5776
O: 0.5776 0.5776 0.1724
O: 0.8276 0.4224 0.4224
O: 0.8276 0.4224 0.8276
O: 0.8276 0.8276 0.4224
O: 0.8750 0.8750 0.8750